Theoretical powder X-ray diffraction pattern of Nd3Dy4S8 for Cu Kα (weighted mean of Kα1 and Kα2), from a crystal structure in Alexandria, relaxed with PBE.

Crystal structure
Unit cell a=11.2475 b=11.2533 c=7.9313 alpha=90.00 beta=134.78 gamma=90.00
Space group C2/m (No. 12)
Symmetry-distinct sites (fractional):
Nd 0.0000 0.0000 0.0000 [2 per cell]
Nd 0.2500 0.2500 0.0000 [4 per cell]
Dy 0.0000 0.5000 0.0000 [2 per cell]
Dy 0.0000 0.5000 0.5000 [2 per cell]
Dy 0.2500 0.2500 0.5000 [4 per cell]
S 0.0000 0.2533 0.5000 [4 per cell]
S 0.0000 0.2549 0.0000 [4 per cell]
S 0.2411 0.5000 0.9921 [4 per cell]
S 0.2426 0.5000 0.4906 [4 per cell]

The 12 most intense peaks (10° ≤ 2θ ≤ 90°), by angle:
13.62°, I = 15; 27.39°, I = 35; 27.52°, I = 34; 31.81°, I = 100; 45.44°, I = 12; 45.60°, I = 48; 45.76°, I = 12; 53.97°, I = 17; 54.14°, I = 17; 56.53°, I = 13; 56.81°, I = 12; 75.57°, I = 21

---

Theoretical powder X-ray diffraction pattern of Er2Sc17 for Cu Kα (weighted mean of Kα1 and Kα2), from a crystal structure in Alexandria, relaxed with PBE.

Crystal structure
Unit cell a=10.3903 b=10.3903 c=16.1062 alpha=90.00 beta=90.00 gamma=120.00
Space group R-3m (No. 166, hexagonal axes)
Symmetry-distinct sites (fractional):
Er 0.0000 0.0000 0.1725 [6 per cell]
Sc 0.0000 0.0000 0.3987 [6 per cell]
Sc 0.0000 0.2976 0.5000 [18 per cell]
Sc 0.0000 0.5000 0.0000 [9 per cell]
Sc 0.0090 0.5045 0.6391 [18 per cell]

The 12 most intense peaks (10° ≤ 2θ ≤ 90°), by angle:
14.76°, I = 12; 23.83°, I = 36; 28.49°, I = 16; 29.78°, I = 49; 33.38°, I = 19; 34.24°, I = 100; 34.53°, I = 47; 45.34°, I = 16; 49.42°, I = 18; 55.78°, I = 13; 60.22°, I = 15; 61.87°, I = 15

---

Theoretical powder X-ray diffraction pattern of LaZr for Cu Kα (weighted mean of Kα1 and Kα2), from a crystal structure in Alexandria, relaxed with PBE.

Crystal structure
Unit cell a=5.9411 b=3.4254 c=11.2782 alpha=90.00 beta=90.01 gamma=90.00
Space group Cm (No. 8)
Symmetry-distinct sites (fractional):
La 0.0000 0.0000 0.0000 [2 per cell]
La 0.1656 0.5000 0.7087 [2 per cell]
Zr 0.1672 0.5000 0.2466 [2 per cell]
Zr 0.3350 0.0000 0.4626 [2 per cell]

The 12 most intense peaks (10° ≤ 2θ ≤ 90°), by angle:
23.67°, I = 10; 30.10°, I = 9; 31.16°, I = 49; 31.74°, I = 29; 34.13°, I = 100; 38.65°, I = 24; 44.31°, I = 9; 50.84°, I = 16; 53.46°, I = 25; 58.08°, I = 15; 63.52°, I = 23; 64.97°, I = 15

---

Theoretical powder X-ray diffraction pattern of Hg2Bi5Pb4 for Cu Kα (weighted mean of Kα1 and Kα2), from a crystal structure in Alexandria, relaxed with PBE.

Crystal structure
Unit cell a=10.0068 b=3.4497 c=10.2067 alpha=90.00 beta=97.52 gamma=90.00
Space group P2/m (No. 10)
Symmetry-distinct sites (fractional):
Hg 0.0693 0.0000 0.3848 [2 per cell]
Bi 0.1892 0.0000 0.8496 [2 per cell]
Bi 0.4081 0.0000 0.3006 [2 per cell]
Bi 0.5000 0.0000 0.0000 [1 per cell]
Pb 0.1405 0.5000 0.1296 [2 per cell]
Pb 0.3036 0.5000 0.5875 [2 per cell]

The 12 most intense peaks (10° ≤ 2θ ≤ 90°), by angle:
26.78°, I = 26; 29.49°, I = 100; 30.03°, I = 63; 31.59°, I = 20; 32.03°, I = 51; 32.18°, I = 56; 33.34°, I = 71; 35.46°, I = 32; 37.84°, I = 39; 44.96°, I = 26; 53.10°, I = 23; 61.89°, I = 37